[1]
Theoretical powder X-ray diffraction pattern
Compound: Tb2Ho3Er7
Radiation: Cu Kα
Structure: the GGA-PBE geometry in Alexandria
Lines closer than 0.1° are merged.

Most intense lines, 15 to 90 degrees two-theta, sorted by position:
two_theta	Rel. int.	h k l
30.84	41	1 11 0
31.65	25	0 8 1
31.87	58	2 0 0
32.11	100	1 5 1
34.26	35	1 7 1
35.17	25	1 13 0

Structural model:
```
data_Tb2Ho3Er7
_chemical_formula_sum 'Tb4 Ho6 Er14'
_space_group_name_H-M_alt 'C m m m'
_space_group_IT_number 65
_space_group_name_Hall '-C 2 2'
_cell_length_a 5.616
_cell_length_b 37.244
_cell_length_c 3.558
_cell_angle_alpha 90.00
_cell_angle_beta 90.00
_cell_angle_gamma 90.00
loop_
_atom_site_label
_atom_site_type_symbol
_atom_site_fract_x
_atom_site_fract_y
_atom_site_fract_z
Tb1 Tb 0.000 0.147 0.000
Ho1 Ho 0.000 0.315 0.500
Ho2 Ho 0.000 0.500 0.500
Er1 Er 0.000 0.000 0.000
Er2 Er 0.000 0.071 0.500
Er3 Er 0.000 0.231 0.000
Er4 Er 0.000 0.409 0.000
```

***

[2]
Theoretical powder X-ray diffraction pattern
Compound: Li9Mg2Ag
Radiation: Cu Kα
Structure: the GGA-PBE geometry in Alexandria
Lines closer than 0.1° are merged.

Most intense lines, 15 to 90 degrees two-theta, sorted by position:
two_theta	Rel. int.	h k l
18.62	34	1 1 0
20.25	30	0 0 2
20.94	51	2 0 -1
21.22	100	1 1 1
32.17	31	3 1 0
38.31	39	3 1 -2

Structural model:
```
data_Li9Mg2Ag
_chemical_formula_sum 'Li18 Mg4 Ag2'
_space_group_name_H-M_alt 'C 1 2/m 1'
_space_group_IT_number 12
_space_group_name_Hall '-C 2y'
_cell_length_a 9.693
_cell_length_b 5.474
_cell_length_c 8.773
_cell_angle_alpha 90.00
_cell_angle_beta 90.13
_cell_angle_gamma 90.00
loop_
_atom_site_label
_atom_site_type_symbol
_atom_site_fract_x
_atom_site_fract_y
_atom_site_fract_z
Li1 Li 0.000 0.000 0.000
Li2 Li 0.086 0.254 0.256
Li3 Li 0.165 0.500 0.567
Li4 Li 0.169 0.000 0.743
Mg1 Mg 0.166 0.500 0.942
Ag1 Ag 0.000 0.000 0.500
```